Diffraction record for CePm12Pr2. The powder diffraction line list is simulated, not measured: it uses a cell relaxed with PBE and Cu Kα.
Lines closer than 0.1° are merged.

Peak list (8 most intense, 10 to 80 degrees two-theta, sorted by position)
3.186 Å, I = 86
3.067 Å, I = 51
2.923 Å, I = 100
2.861 Å, I = 92
2.821 Å, I = 59
2.780 Å, I = 97
2.416 Å, I = 63
2.327 Å, I = 57

Structure:
Unit cell a=6.5824 b=6.5824 c=25.3905 alpha=90.00 beta=90.00 gamma=90.00
Element x y z (fractional)
1 Ce 0.2500 0.7500 0.0000
2 Ce 0.7500 0.2500 0.0000
3 Pm 0.0636 0.5636 0.1122
4 Pm 0.0636 0.9364 0.8878
5 Pm 0.0824 0.5824 0.4381
6 Pm 0.0824 0.9176 0.5619
7 Pm 0.2500 0.2500 0.2137
8 Pm 0.2500 0.2500 0.3377
9 Pm 0.2500 0.2500 0.6623
10 Pm 0.2500 0.2500 0.7863
11 Pm 0.4176 0.5824 0.5619
12 Pm 0.4176 0.9176 0.4381
13 Pm 0.4364 0.5636 0.8878
14 Pm 0.4364 0.9364 0.1122
15 Pm 0.5636 0.0636 0.8878
16 Pm 0.5636 0.4364 0.1122
17 Pm 0.5824 0.0824 0.5619
18 Pm 0.5824 0.4176 0.4381
19 Pm 0.7500 0.7500 0.2137
20 Pm 0.7500 0.7500 0.3377
21 Pm 0.7500 0.7500 0.6623
22 Pm 0.7500 0.7500 0.7863
23 Pm 0.9176 0.0824 0.4381
24 Pm 0.9176 0.4176 0.5619
25 Pm 0.9364 0.0636 0.1122
26 Pm 0.9364 0.4364 0.8878
27 Pr 0.2500 0.7500 0.2665
28 Pr 0.2500 0.7500 0.7335
29 Pr 0.7500 0.2500 0.2665
30 Pr 0.7500 0.2500 0.7335

=====

Diffraction record for La4PmDy7. The powder diffraction line list is simulated, not measured: it uses a cell relaxed with PBE and Cu Kα.
Lines closer than 0.1° are merged.

Peak list (8 most intense, 10 to 80 degrees two-theta, sorted by position)
2.958 Å, I = 100
2.939 Å, I = 33
2.557 Å, I = 67
1.813 Å, I = 24
1.804 Å, I = 24
1.546 Å, I = 14
1.543 Å, I = 29
1.538 Å, I = 14

Structure:
Unit cell a=3.6253 b=3.6253 c=35.2729 alpha=90.00 beta=90.00 gamma=120.00
Element x y z (fractional)
1 La 0.3333 0.6667 0.1666
2 La 0.3333 0.6667 0.4162
3 La 0.6667 0.3333 0.5838
4 La 0.6667 0.3333 0.8334
5 Pm 0.0000 0.0000 0.0000
6 Dy 0.0000 0.0000 0.2512
7 Dy 0.0000 0.0000 0.5000
8 Dy 0.0000 0.0000 0.7488
9 Dy 0.3333 0.6667 0.6683
10 Dy 0.3333 0.6667 0.9177
11 Dy 0.6667 0.3333 0.0823
12 Dy 0.6667 0.3333 0.3317

=====

Diffraction record for LaDyGaPd. The powder diffraction line list is simulated, not measured: it uses a cell relaxed with PBE and Cu Kα.
Lines closer than 0.1° are merged.

Peak list (8 most intense, 10 to 80 degrees two-theta, sorted by position)
2.972 Å, I = 100
2.704 Å, I = 35
2.614 Å, I = 18
2.316 Å, I = 50
2.259 Å, I = 20
2.245 Å, I = 26
2.142 Å, I = 23
1.727 Å, I = 18

Structure:
Unit cell a=4.4909 b=5.6507 c=5.6507 alpha=44.56 beta=90.00 gamma=90.00
Element x y z (fractional)
1 La 0.0000 0.0000 0.0000
2 Dy 0.5000 0.7166 0.7166
3 Ga 0.5000 0.4216 0.4216
4 Pd 0.0000 0.2775 0.2775